# La10C4I15
Simulated PXRD pattern, Cu Kα (λ = 1.5418 Å). Input: a structure optimized by DFT (GGA-PBE).

```
data_La10C4I15
_space_group_name_H-M_alt 'P -1'
_space_group_IT_number 2
_cell_length_a 9.935
_cell_length_b 10.825
_cell_length_c 11.951
_cell_angle_alpha 93.70
_cell_angle_beta 114.46
_cell_angle_gamma 109.24
loop_
_space_group_symop_operation_xyz
'x,y,z'
'-x,-y,-z'
loop_
_atom_site_label
_atom_site_type_symbol
_atom_site_fract_x
_atom_site_fract_y
_atom_site_fract_z
La1 La 0.029 0.187 0.103
La2 La 0.098 0.541 0.342
La3 La 0.157 0.253 0.835
La4 La 0.205 0.568 0.044
La5 La 0.279 0.885 0.259
C1 C 0.018 0.701 0.063
C2 C 0.047 0.639 0.166
I1 I 0.095 0.032 0.354
I2 I 0.142 0.370 0.587
I3 I 0.215 0.734 0.822
I4 I 0.294 0.094 0.063
I5 I 0.350 0.446 0.297
I6 I 0.397 0.812 0.534
I7 I 0.444 0.166 0.779
I8 I 0.500 0.500 0.000
```

Top 8 peaks for 2θ = 10–90°, by angle:
| Position (°2θ) | I_rel | index |
| --- | --- | --- |
| 27.38 | 100 | 0 2 -3 |
| 28.55 | 79 | 1 2 1 |
| 28.81 | 85 | -3 2 2 |
| 39.66 | 29 | 1 4 -2 |
| 39.91 | 29 | 3 0 -5 |
| 40.14 | 23 | 4 0 -1 |
| 40.28 | 30 | 1 0 4 |
| 40.43 | 28 | 3 -4 1 |